Entry 1:
Simulated powder diffractogram
Compound: Mg7Si4
Radiation: λ = 1.5418 Å (Cu Kα)
Structure: a cell relaxed with PBE
Lines closer than 0.1° are merged.

Structure:
```
data_Mg7Si4
_space_group_name_H-M_alt 'P 1'
_space_group_IT_number 1
_cell_length_a 4.393
_cell_length_b 6.532
_cell_length_c 15.593
_cell_angle_alpha 83.39
_cell_angle_beta 82.16
_cell_angle_gamma 89.43
loop_
_space_group_symop_operation_xyz
'x,y,z'
loop_
_atom_site_label
_atom_site_type_symbol
_atom_site_fract_x
_atom_site_fract_y
_atom_site_fract_z
Mg1 Mg 0.000 0.000 0.000
Mg2 Mg 0.004 0.507 0.989
Mg3 Mg 0.163 0.821 0.665
Mg4 Mg 0.281 0.834 0.442
Mg5 Mg 0.292 0.341 0.426
Mg6 Mg 0.434 0.200 0.121
Mg7 Mg 0.459 0.718 0.085
Mg8 Mg 0.547 0.275 0.904
Mg9 Mg 0.566 0.799 0.872
Mg10 Mg 0.641 0.173 0.710
Mg11 Mg 0.725 0.537 0.554
Mg12 Mg 0.741 0.052 0.522
Mg13 Mg 0.831 0.630 0.343
Mg14 Mg 0.856 0.145 0.306
Si1 Si 0.085 0.092 0.824
Si2 Si 0.098 0.478 0.808
Si3 Si 0.205 0.219 0.594
Si4 Si 0.373 0.854 0.258
Si5 Si 0.379 0.463 0.254
Si6 Si 0.633 0.593 0.727
Si7 Si 0.914 0.880 0.174
Si8 Si 0.915 0.491 0.170
```

The 10 most intense peaks (2θ from 15° to 90°), by angle:
2θ/deg	I/Imax	(hkl)
34.6	71	1 2 0
34.9	55	-1 2 1
35.0	39	1 -2 1
36.3	14	-1 2 2
38.0	35	0 2 5
38.1	64	1 0 -5
38.3	100	1 0 6
38.5	13	1 2 -2
41.1	90	2 0 1
57.1	20	2 2 6

Entry 2:
Simulated powder diffractogram
Compound: CeSe2
Radiation: λ = 1.5418 Å (Cu Kα)
Structure: a cell relaxed with PBE
Lines closer than 0.1° are merged.

Structure:
```
data_CeSe2
_space_group_name_H-M_alt 'C m c 21'
_space_group_IT_number 36
_cell_length_a 4.090
_cell_length_b 7.085
_cell_length_c 39.329
_cell_angle_alpha 90.00
_cell_angle_beta 90.00
_cell_angle_gamma 90.00
loop_
_space_group_symop_operation_xyz
'x,y,z'
'-x,-y,z+1/2'
'-x,y,z'
'x,-y,z+1/2'
'x+1/2,y+1/2,z'
'-x+1/2,-y+1/2,z+1/2'
'-x+1/2,y+1/2,z'
'x+1/2,-y+1/2,z+1/2'
loop_
_atom_site_label
_atom_site_type_symbol
_atom_site_fract_x
_atom_site_fract_y
_atom_site_fract_z
Ce1 Ce 0.000 0.092 0.000
Ce2 Ce 0.000 0.242 0.333
Se1 Se 0.000 0.091 0.790
Se2 Se 0.000 0.093 0.876
Se3 Se 0.000 0.423 0.957
Se4 Se 0.000 0.429 0.043
```

The 10 most intense peaks (2θ from 15° to 90°), by angle:
2θ/deg	I/Imax	(hkl)
25.2	32	1 1 1
25.6	45	0 2 2
26.1	53	1 1 3
31.1	56	1 1 8
32.5	78	0 2 9
34.1	72	1 1 10
35.7	40	1 1 11
41.0	37	1 1 14
42.9	31	0 2 15
44.3	100	2 0 0

Entry 3:
Simulated powder diffractogram
Compound: Sc3InN
Radiation: λ = 1.5418 Å (Cu Kα)
Structure: a cell relaxed with PBE
Lines closer than 0.1° are merged.

Structure:
```
data_Sc3InN
_space_group_name_H-M_alt 'P m -3 m'
_space_group_IT_number 221
_space_group_name_Hall '-P 4 2 3'
_cell_length_a 4.475
_cell_length_b 4.475
_cell_length_c 4.475
_cell_angle_alpha 90.00
_cell_angle_beta 90.00
_cell_angle_gamma 90.00
loop_
_atom_site_label
_atom_site_type_symbol
_atom_site_fract_x
_atom_site_fract_y
_atom_site_fract_z
Sc1 Sc 0.000 0.000 0.500
In1 In 0.500 0.500 0.500
N1 N 0.000 0.000 0.000
```

The 10 most intense peaks (2θ from 15° to 90°), by angle:
2θ/deg	I/Imax	(hkl)
19.8	16	1 0 0
28.2	34	1 1 0
34.7	100	1 1 1
40.3	60	2 0 0
45.3	9	2 1 0
49.9	13	2 1 1
58.3	37	2 2 0
69.7	35	3 1 1
73.3	12	2 2 2
80.3	7	3 2 1

Entry 4:
Simulated powder diffractogram
Compound: LiLa2SbO6
Radiation: λ = 1.5418 Å (Cu Kα)
Structure: a cell relaxed with PBE
Lines closer than 0.1° are merged.

Structure:
```
data_LiLa2SbO6
_space_group_name_H-M_alt 'P 1 21/c 1'
_space_group_IT_number 14
_cell_length_a 5.659
_cell_length_b 5.837
_cell_length_c 9.814
_cell_angle_alpha 90.00
_cell_angle_beta 124.81
_cell_angle_gamma 90.00
loop_
_space_group_symop_operation_xyz
'x,y,z'
'-x,-y,-z'
'-x,y+1/2,-z+1/2'
'x,-y+1/2,z+1/2'
loop_
_atom_site_label
_atom_site_type_symbol
_atom_site_fract_x
_atom_site_fract_y
_atom_site_fract_z
Li1 Li 0.000 0.000 0.000
La1 La 0.235 0.052 0.749
Sb1 Sb 0.500 0.000 0.500
O1 O 0.165 0.192 0.452
O2 O 0.257 0.716 0.445
O3 O 0.358 0.034 0.260
```

The 10 most intense peaks (2θ from 15° to 90°), by angle:
2θ/deg	I/Imax	(hkl)
18.8	44	0 1 1
19.2	28	1 0 -2
30.6	43	0 2 0
31.2	100	1 1 1
31.3	99	1 1 -3
31.6	48	2 0 -2
44.6	45	2 2 -2
45.0	29	0 0 4
50.9	27	1 3 0
56.2	35	2 0 -6

Entry 5:
Simulated powder diffractogram
Compound: BaIn2Te4
Radiation: λ = 1.5418 Å (Cu Kα)
Structure: a cell relaxed with PBE
Lines closer than 0.1° are merged.

Structure:
```
data_BaIn2Te4
_space_group_name_H-M_alt 'I 4 2 2'
_space_group_IT_number 97
_space_group_name_Hall 'I 4 2'
_cell_length_a 8.728
_cell_length_b 8.728
_cell_length_c 7.193
_cell_angle_alpha 90.00
_cell_angle_beta 90.00
_cell_angle_gamma 90.00
loop_
_atom_site_label
_atom_site_type_symbol
_atom_site_fract_x
_atom_site_fract_y
_atom_site_fract_z
Ba1 Ba 0.000 0.000 0.000
In1 In 0.000 0.500 0.000
Te1 Te 0.179 0.321 0.250
```

The 10 most intense peaks (2θ from 15° to 90°), by angle:
2θ/deg	I/Imax	(hkl)
16.0	20	1 0 1
26.0	100	2 1 1
28.9	43	2 2 0
32.3	94	2 0 2
41.2	20	3 1 2
44.0	14	3 3 0
44.3	23	2 1 3
44.6	35	4 1 1
58.1	16	4 1 3
73.5	16	6 2 2

Entry 6:
Simulated powder diffractogram
Compound: Sr4LiB3N6
Radiation: λ = 1.5418 Å (Cu Kα)
Structure: a cell relaxed with PBE
Lines closer than 0.1° are merged.

Structure:
```
data_Sr4LiB3N6
_space_group_name_H-M_alt 'I m -3 m'
_space_group_IT_number 229
_space_group_name_Hall '-I 4 2 3'
_cell_length_a 7.493
_cell_length_b 7.493
_cell_length_c 7.493
_cell_angle_alpha 90.00
_cell_angle_beta 90.00
_cell_angle_gamma 90.00
loop_
_atom_site_label
_atom_site_type_symbol
_atom_site_fract_x
_atom_site_fract_y
_atom_site_fract_z
Sr1 Sr 0.250 0.250 0.250
Li1 Li 0.000 0.000 0.000
B1 B 0.000 0.000 0.500
N1 N 0.000 0.000 0.320
```

The 10 most intense peaks (2θ from 15° to 90°), by angle:
2θ/deg	I/Imax	(hkl)
23.7	68	2 0 0
33.8	100	2 2 0
41.8	37	2 2 2
48.6	22	4 0 0
54.8	37	4 2 0
60.5	31	4 2 2
71.2	12	4 4 0
76.2	19	4 4 2
81.2	18	6 2 0
86.1	11	6 2 2